1.
For LiIn2IrO6, DFT lattice parameters and positions (PBE) gives the theoretical PXRD pattern in this record (λ = 1.5418 Å (Cu Kα)).
Peak positions follow from Bragg's law for the DFT cell and can differ from measured ones.

Structural model:
```
LiIn2IrO6
1.0
2.7087 1.5639 4.8085
-2.7087 1.5639 4.8085
0.0000 -3.1277 4.8085
Li In Ir O
1 2 1 6
Direct
0.0000 0.0000 0.0000 Li
0.2667 0.2667 0.2667 In
0.7758 0.7758 0.7758 In
0.4725 0.4725 0.4725 Ir
0.1038 0.6784 0.3731 O
0.2151 0.5781 0.8382 O
0.3731 0.1038 0.6784 O
0.5781 0.8382 0.2151 O
0.6784 0.3731 0.1038 O
0.8382 0.2151 0.5781 O
```

Principal peaks in the range 15 to 90 degrees two-theta, sorted by position:
18.45°, intensity 40; 19.90°, intensity 83; 22.61°, intensity 36; 31.28°, intensity 92; 33.07°, intensity 100; 38.13°, intensity 41; 46.16°, intensity 37; 50.78°, intensity 56; 57.95°, intensity 35; 59.07°, intensity 31



2.
For Li6CaTl, DFT lattice parameters and positions (PBE) gives the theoretical PXRD pattern in this record (λ = 1.5418 Å (Cu Kα)).
Peak positions follow from Bragg's law for the DFT cell and can differ from measured ones.

Structural model:
```
Li6CaTl
1.0
5.5995 0.0000 0.0000
0.0000 5.5995 0.0000
0.0000 0.0000 5.5995
Li Ca Tl
6 1 1
Direct
0.0000 0.2724 0.5000 Li
0.0000 0.7276 0.5000 Li
0.2724 0.5000 0.0000 Li
0.5000 0.0000 0.2724 Li
0.5000 0.0000 0.7276 Li
0.7276 0.5000 0.0000 Li
0.0000 0.0000 0.0000 Ca
0.5000 0.5000 0.5000 Tl
```

Principal peaks in the range 15 to 90 degrees two-theta, sorted by position:
15.83°, intensity 50; 22.45°, intensity 100; 27.59°, intensity 17; 31.97°, intensity 25; 35.86°, intensity 29; 39.42°, intensity 55; 45.83°, intensity 15; 48.79°, intensity 15; 51.62°, intensity 21; 62.01°, intensity 29



3.
For YTh, DFT lattice parameters and positions (PBE) gives the theoretical PXRD pattern in this record (λ = 1.5418 Å (Cu Kα)).
Peak positions follow from Bragg's law for the DFT cell and can differ from measured ones.

Structural model:
```
YTh
1.0
3.5753 0.0000 0.0000
0.0000 5.8500 0.0000
0.0000 0.0000 6.2092
Y Th
2 2
Direct
0.2500 0.2500 0.0896 Y
0.7500 0.7500 0.9104 Y
0.2500 0.7500 0.4240 Th
0.7500 0.2500 0.5760 Th
```

Principal peaks in the range 15 to 90 degrees two-theta, sorted by position:
28.79°, intensity 23; 29.28°, intensity 10; 30.56°, intensity 27; 32.69°, intensity 100; 42.49°, intensity 16; 50.98°, intensity 13; 55.69°, intensity 22; 60.65°, intensity 23; 61.97°, intensity 10; 84.22°, intensity 9



4.
For Np3AsS3, DFT lattice parameters and positions (PBE) gives the theoretical PXRD pattern in this record (λ = 1.5418 Å (Cu Kα)).
Peak positions follow from Bragg's law for the DFT cell and can differ from measured ones.

Structural model:
```
Np3AsS3
1.0
5.5893 0.0000 0.0000
0.0000 5.5893 0.0000
0.0000 0.0000 5.5893
Np As S
3 1 3
Direct
0.0000 0.0000 0.5000 Np
0.0000 0.5000 0.0000 Np
0.5000 0.0000 0.0000 Np
0.0000 0.0000 0.0000 As
0.0000 0.5000 0.5000 S
0.5000 0.0000 0.5000 S
0.5000 0.5000 0.0000 S
```

Principal peaks in the range 15 to 90 degrees two-theta, sorted by position:
15.86°, intensity 52; 22.50°, intensity 22; 27.64°, intensity 66; 32.03°, intensity 100; 35.93°, intensity 30; 45.92°, intensity 74; 54.45°, intensity 34; 57.08°, intensity 26; 76.17°, intensity 34; 85.02°, intensity 26



- What is the formula in the second record?
  Li6CaTl



Repeat the first record exactly.
For LiIn2IrO6, DFT lattice parameters and positions (PBE) gives the theoretical PXRD pattern in this record (λ = 1.5418 Å (Cu Kα)).
Peak positions follow from Bragg's law for the DFT cell and can differ from measured ones.

Structural model:
```
LiIn2IrO6
1.0
2.7087 1.5639 4.8085
-2.7087 1.5639 4.8085
0.0000 -3.1277 4.8085
Li In Ir O
1 2 1 6
Direct
0.0000 0.0000 0.0000 Li
0.2667 0.2667 0.2667 In
0.7758 0.7758 0.7758 In
0.4725 0.4725 0.4725 Ir
0.1038 0.6784 0.3731 O
0.2151 0.5781 0.8382 O
0.3731 0.1038 0.6784 O
0.5781 0.8382 0.2151 O
0.6784 0.3731 0.1038 O
0.8382 0.2151 0.5781 O
```

Principal peaks in the range 15 to 90 degrees two-theta, sorted by position:
18.45°, intensity 40; 19.90°, intensity 83; 22.61°, intensity 36; 31.28°, intensity 92; 33.07°, intensity 100; 38.13°, intensity 41; 46.16°, intensity 37; 50.78°, intensity 56; 57.95°, intensity 35; 59.07°, intensity 31